# NbSbO4
Calculated PXRD pattern, Cu Kα (λ = 1.5418 Å). Input: a crystal structure in the Materials Project, relaxed with GGA-PBE.

```
data_NbSbO4
_cell_length_a 5.6803
_cell_length_b 5.0554
_cell_length_c 11.9954
_cell_angle_alpha 90.00
_cell_angle_beta 90.00
_cell_angle_gamma 90.00
_symmetry_space_group_name_H-M 'P n a 21'
_symmetry_Int_Tables_number 33
_symmetry_space_group_name_Hall 'P 2c -2n'
loop_
_atom_site_label
_atom_site_fract_x
_atom_site_fract_y
_atom_site_fract_z
Nb1 0.1125 0.0090 0.0000
Sb1 0.0225 0.4425 0.2515
O1 0.0742 0.7141 0.4416
O2 0.1181 0.2303 0.5439
O3 0.1603 0.8354 0.8403
O4 0.1806 0.1644 0.1514
```

Peak list (10 most intense, 10° ≤ 2θ ≤ 90°, low angle first)
(0 1 1), 19.05°, intensity 13.1; (1 1 1), 24.72°, intensity 22.8; (1 1 2), 27.92°, intensity 100.0; (0 0 4), 29.79°, intensity 26.4; (2 0 0), 31.50°, intensity 8.7; (2 0 4), 43.91°, intensity 9.3; (0 2 4), 47.02°, intensity 12.7; (2 2 1), 48.83°, intensity 8.3; (1 1 6), 51.74°, intensity 20.1; (1 3 2), 59.23°, intensity 8.3